No. 1
For CoNiBIr, the GGA-PBE geometry in OQMD gives the theoretical XRD peak list in this record (a wavelength of 1.5418 Å).
Peak positions follow from Bragg's law for the DFT cell and can differ from measured ones.

Main lines, sorted by position (2θ from 5° to 70°):
27.87°, 3.201 Å, rel. 48, (1 1 1)
32.29°, 2.772 Å, rel. 41, (2 0 0)
46.31°, 1.960 Å, rel. 100, (2 2 0)
54.92°, 1.672 Å, rel. 24, (3 1 1)
57.58°, 1.601 Å, rel. 11, (2 2 2)
67.58°, 1.386 Å, rel. 16, (4 0 0)

Crystal structure
```
data_CoNiBIr
_chemical_formula_sum 'Co4 Ni4 B4 Ir4'
_cell_length_a 5.545
_cell_length_b 5.545
_cell_length_c 5.545
_cell_angle_alpha 90.00
_cell_angle_beta 90.00
_cell_angle_gamma 90.00
_symmetry_space_group_name_H-M 'F -4 3 m'
_symmetry_Int_Tables_number 216
_symmetry_space_group_name_Hall 'F -4 2 3'
loop_
_atom_site_label
_atom_site_fract_x
_atom_site_fract_y
_atom_site_fract_z
Co1 0.000 0.000 0.000
Ni1 0.250 0.250 0.250
B1 0.250 0.250 0.750
Ir1 0.000 0.000 0.500
```


No. 2
For Tm2Co4B4Ir, the GGA-PBE geometry in OQMD gives the theoretical XRD peak list in this record (a wavelength of 1.5418 Å).
Peak positions follow from Bragg's law for the DFT cell and can differ from measured ones.

Main lines, sorted by position (2θ from 5° to 70°):
18.97°, 4.678 Å, rel. 23, (0 2 0)
31.65°, 2.827 Å, rel. 100, (1 1 3)
37.95°, 2.371 Å, rel. 15, (0 2 4)
38.49°, 2.339 Å, rel. 37, (0 4 0)
40.68°, 2.218 Å, rel. 63, (2 2 0)
42.05°, 2.149 Å, rel. 55, (1 3 3)
49.03°, 1.858 Å, rel. 9, (2 0 4)
58.31°, 1.582 Å, rel. 18, (1 5 3)
61.53°, 1.507 Å, rel. 15, (3 1 3)
68.40°, 1.371 Å, rel. 16, (3 3 3)

Crystal structure
```
data_Tm2Co4B4Ir
_chemical_formula_sum 'Tm8 Co16 B16 Ir4'
_cell_length_a 5.039
_cell_length_b 9.356
_cell_length_c 11.003
_cell_angle_alpha 90.00
_cell_angle_beta 90.00
_cell_angle_gamma 90.00
_symmetry_space_group_name_H-M 'F m m m'
_symmetry_Int_Tables_number 69
_symmetry_space_group_name_Hall '-F 2 2'
loop_
_atom_site_label
_atom_site_fract_x
_atom_site_fract_y
_atom_site_fract_z
Tm1 0.000 0.000 0.144
Co1 0.250 0.250 0.000
Co2 0.250 0.250 0.250
B1 0.000 0.166 0.367
Ir1 0.000 0.000 0.500
```


No. 3
For Tm2CoB4Ir4, the GGA-PBE geometry in OQMD gives the theoretical XRD peak list in this record (a wavelength of 1.5418 Å).
Peak positions follow from Bragg's law for the DFT cell and can differ from measured ones.

Main lines, sorted by position (2θ from 5° to 70°):
19.26°, 4.609 Å, rel. 28, (0 2 0)
30.25°, 2.954 Å, rel. 31, (1 1 3)
37.10°, 2.423 Å, rel. 84, (0 2 4)
38.29°, 2.351 Å, rel. 100, (2 2 0)
39.08°, 2.305 Å, rel. 46, (0 4 0)
41.24°, 2.189 Å, rel. 17, (1 3 3)
46.02°, 1.972 Å, rel. 49, (2 0 4)
50.33°, 1.813 Å, rel. 18, (2 2 4)
61.93°, 1.498 Å, rel. 38, (2 4 4)
69.51°, 1.352 Å, rel. 14, (0 6 4)

Crystal structure
```
data_Tm2CoB4Ir4
_chemical_formula_sum 'Tm8 Co4 B16 Ir16'
_cell_length_a 5.466
_cell_length_b 9.219
_cell_length_c 11.394
_cell_angle_alpha 90.00
_cell_angle_beta 90.00
_cell_angle_gamma 90.00
_symmetry_space_group_name_H-M 'F m m m'
_symmetry_Int_Tables_number 69
_symmetry_space_group_name_Hall '-F 2 2'
loop_
_atom_site_label
_atom_site_fract_x
_atom_site_fract_y
_atom_site_fract_z
Tm1 0.000 0.000 0.137
Co1 0.000 0.000 0.500
B1 0.000 0.144 0.368
Ir1 0.250 0.250 0.000
Ir2 0.250 0.250 0.250
```